# Ba2Fe4Bi2O11
Simulated XRD peak list, copper Kα. Input: a crystal structure in Alexandria, relaxed with GGA+U.
No peak broadening, texture or thermal motion is included.

Main lines, sorted by position (15° ≤ 2θ ≤ 90°):
Position (°2θ)	I_rel
21.40	16
22.31	23
31.11	100
31.76	47
38.62	29
45.53	29
49.52	11
54.94	17
56.17	38
64.87	12

Atomic structure:
a = 3.9849 Å, b = 3.9849 Å, c = 16.6051 Å
α = 90.00°, β = 90.00°, γ = 90.00°
Space group P4mm (No. 99)
Unique sites:
Ba 0.0000 0.0000 0.0000 x1
Ba 0.0000 0.0000 0.2479 x1
Fe 0.5000 0.5000 0.1453 x1
Fe 0.5000 0.5000 0.3846 x1
Fe 0.5000 0.5000 0.6304 x1
Fe 0.5000 0.5000 0.8710 x1
Bi 0.0000 0.0000 0.4855 x1
Bi 0.0000 0.0000 0.7329 x1
O 0.0000 0.5000 0.1288 x2
O 0.0000 0.5000 0.4004 x2
O 0.0000 0.5000 0.6474 x2
O 0.0000 0.5000 0.8977 x2
O 0.5000 0.5000 0.2655 x1
O 0.5000 0.5000 0.5124 x1
O 0.5000 0.5000 0.7571 x1